(1)
The following is a computed powder diffraction line list of ZnP2O4. It was derived from a structure optimized by DFT (GGA-PBE), using copper Kα.
Lines closer than 0.1° are merged.

Peak list (10 most intense, 10 to 90 degrees two-theta, low angle first)
2θ = 11.10°, d 7.968, I = 100, hkl 0 0 1; 2θ = 16.16°, d 5.484, I = 40, hkl 0 1 0; 2θ = 23.80°, d 3.738, I = 26, hkl 1 1 1; 2θ = 26.07°, d 3.418, I = 14, hkl 1 0 2; 2θ = 31.44°, d 2.845, I = 15, hkl 2 1 0; 2θ = 32.66°, d 2.742, I = 12, hkl 0 2 0; 2θ = 33.44°, d 2.679, I = 31, hkl 2 1 1; 2θ = 37.63°, d 2.390, I = 13, hkl 0 1 3; 2θ = 44.28°, d 2.045, I = 11, hkl 2 2 1; 2θ = 48.69°, d 1.870, I = 11, hkl 0 1 4

```
data_ZnP2O4
_symmetry_space_group_name_H-M 'P m m a'
_symmetry_Int_Tables_number 51
_symmetry_space_group_name_Hall '-P 2a 2a'
_cell_length_a 6.656
_cell_length_b 5.484
_cell_length_c 7.968
_cell_angle_alpha 90.00
_cell_angle_beta 90.00
_cell_angle_gamma 90.00
loop_
_atom_site_label
_atom_site_fract_x
_atom_site_fract_y
_atom_site_fract_z
Zn1 0.000 0.000 0.000
P1 0.250 0.000 0.349
P2 0.250 0.500 0.850
O1 0.057 0.000 0.244
O2 0.250 0.270 0.960
```

---

(2)
The following is a computed powder diffraction line list of ZnP2O10. It was derived from a structure optimized by DFT (GGA-PBE), using copper Kα.
Lines closer than 0.1° are merged.

Peak list (10 most intense, 10 to 90 degrees two-theta, low angle first)
2θ = 15.53°, d 5.705, I = 74, hkl 0 1 1; 2θ = 16.68°, d 5.314, I = 85, hkl 1 0 0; 2θ = 17.24°, d 5.143, I = 52, hkl 1 1 -1; 2θ = 27.41°, d 3.254, I = 33, hkl 1 1 1; 2θ = 28.46°, d 3.137, I = 100, hkl 1 2 -2; 2θ = 30.21°, d 2.958, I = 18, hkl 0 3 1; 2θ = 30.41°, d 2.940, I = 42, hkl 2 1 -1; 2θ = 33.73°, d 2.657, I = 25, hkl 2 0 0; 2θ = 34.89°, d 2.571, I = 19, hkl 2 2 -2; 2θ = 53.45°, d 1.714, I = 15, hkl 3 3 -3

```
data_ZnP2O10
_symmetry_space_group_name_H-M 'P 1 21/c 1'
_symmetry_Int_Tables_number 14
_symmetry_space_group_name_Hall '-P 2ybc'
_cell_length_a 6.260
_cell_length_b 9.785
_cell_length_c 8.272
_cell_angle_alpha 90.00
_cell_angle_beta 121.91
_cell_angle_gamma 90.00
loop_
_atom_site_label
_atom_site_fract_x
_atom_site_fract_y
_atom_site_fract_z
Zn1 0.000 0.000 0.000
P1 0.083 0.247 0.298
O1 0.018 0.611 0.710
O2 0.047 0.674 0.390
O3 0.295 0.189 0.474
O4 0.374 0.588 0.185
O5 0.488 0.006 0.190
```

---

(3)
The following is a computed powder diffraction line list of ZnPO4. It was derived from a structure optimized by DFT (GGA-PBE), using copper Kα.
Lines closer than 0.1° are merged.

Peak list (10 most intense, 10 to 90 degrees two-theta, low angle first)
2θ = 19.42°, d 4.570, I = 90, hkl 1 0 0; 2θ = 22.28°, d 3.990, I = 63, hkl 1 0 1; 2θ = 29.29°, d 3.049, I = 60, hkl 1 0 2; 2θ = 35.39°, d 2.537, I = 100, hkl 1 1 2; 2θ = 44.32°, d 2.044, I = 19, hkl 2 1 0; 2θ = 49.87°, d 1.829, I = 27, hkl 2 1 2; 2θ = 57.00°, d 1.616, I = 15, hkl 2 2 0; 2θ = 60.75°, d 1.525, I = 30, hkl 2 0 4; 2θ = 64.43°, d 1.446, I = 16, hkl 2 1 4; 2θ = 68.91°, d 1.363, I = 19, hkl 3 1 2

```
data_ZnPO4
_symmetry_space_group_name_H-M 'P -4 2 c'
_symmetry_Int_Tables_number 112
_symmetry_space_group_name_Hall 'P -4 2c'
_cell_length_a 4.570
_cell_length_b 4.570
_cell_length_c 8.189
_cell_angle_alpha 90.00
_cell_angle_beta 90.00
_cell_angle_gamma 90.00
loop_
_atom_site_label
_atom_site_fract_x
_atom_site_fract_y
_atom_site_fract_z
Zn1 0.000 0.000 0.000
P1 0.000 0.500 0.250
O1 0.188 0.298 0.360
```

---

(4)
The following is a computed powder diffraction line list of ZnPO4. It was derived from a structure optimized by DFT (GGA-PBE), using copper Kα.
Lines closer than 0.1° are merged.

Peak list (10 most intense, 10 to 90 degrees two-theta, low angle first)
2θ = 17.77°, d 4.991, I = 95, hkl 1 1 0; 2θ = 26.81°, d 3.326, I = 100, hkl 0 2 1; 2θ = 27.60°, d 3.232, I = 60, hkl 2 0 0; 2θ = 28.54°, d 3.127, I = 54, hkl 0 0 2; 2θ = 38.85°, d 2.318, I = 17, hkl 2 2 1; 2θ = 39.85°, d 2.262, I = 44, hkl 1 3 1; 2θ = 43.55°, d 2.078, I = 23, hkl 3 1 0; 2θ = 49.50°, d 1.841, I = 29, hkl 0 2 3; 2θ = 57.30°, d 1.608, I = 31, hkl 3 3 1; 2θ = 57.61°, d 1.600, I = 15, hkl 2 2 3

```
data_ZnPO4
_symmetry_space_group_name_H-M 'C m c m'
_symmetry_Int_Tables_number 63
_symmetry_space_group_name_Hall '-C 2c 2'
_cell_length_a 6.464
_cell_length_b 7.854
_cell_length_c 6.255
_cell_angle_alpha 90.00
_cell_angle_beta 90.00
_cell_angle_gamma 90.00
loop_
_atom_site_label
_atom_site_fract_x
_atom_site_fract_y
_atom_site_fract_z
Zn1 0.000 0.084 0.250
P1 0.000 0.295 0.750
O1 0.000 0.168 0.559
O2 0.190 0.412 0.750
```

---

(5)
The following is a computed powder diffraction line list of Zr2P2O9. It was derived from a structure optimized by DFT (GGA-PBE), using copper Kα.
Lines closer than 0.1° are merged.

Peak list (10 most intense, 10 to 90 degrees two-theta, low angle first)
2θ = 14.71°, d 6.022, I = 80, hkl 0 0 2; 2θ = 20.19°, d 4.397, I = 57, hkl 0 2 0; 2θ = 21.51°, d 4.131, I = 65, hkl 0 2 1; 2θ = 22.22°, d 4.001, I = 49, hkl 1 1 2; 2θ = 25.08°, d 3.551, I = 35, hkl 0 2 2; 2θ = 26.43°, d 3.373, I = 100, hkl 2 0 0; 2θ = 27.78°, d 3.212, I = 37, hkl 1 1 3; 2θ = 34.17°, d 2.624, I = 76, hkl 1 1 4; 2θ = 51.80°, d 1.765, I = 52, hkl 3 1 4; 2θ = 54.43°, d 1.686, I = 37, hkl 4 0 0

```
data_Zr2P2O9
_symmetry_space_group_name_H-M 'C m c e'
_symmetry_Int_Tables_number 64
_symmetry_space_group_name_Hall '-C 2ac 2'
_cell_length_a 6.745
_cell_length_b 8.795
_cell_length_c 12.043
_cell_angle_alpha 90.00
_cell_angle_beta 90.00
_cell_angle_gamma 90.00
loop_
_atom_site_label
_atom_site_fract_x
_atom_site_fract_y
_atom_site_fract_z
Zr1 0.000 0.206 0.063
P1 0.000 0.107 0.353
O1 0.000 0.000 0.000
O2 0.000 0.063 0.624
O3 0.000 0.140 0.230
O4 0.175 0.190 0.415
```

---

(6)
The following is a computed powder diffraction line list of Zr2P2O9. It was derived from a structure optimized by DFT (GGA-PBE), using copper Kα.
Lines closer than 0.1° are merged.

Peak list (10 most intense, 10 to 90 degrees two-theta, low angle first)
2θ = 15.81°, d 5.606, I = 100, hkl 1 1 -1; 2θ = 25.40°, d 3.506, I = 49, hkl 4 0 -2; 2θ = 26.21°, d 3.400, I = 57, hkl 2 0 1; 2θ = 26.51°, d 3.362, I = 30, hkl 2 0 -3; 2θ = 26.71°, d 3.338, I = 58, hkl 0 2 0; 2θ = 37.62°, d 2.391, I = 26, hkl 3 1 -4; 2θ = 37.77°, d 2.382, I = 14, hkl 2 2 1; 2θ = 41.52°, d 2.175, I = 17, hkl 1 3 -1; 2θ = 45.08°, d 2.011, I = 14, hkl 6 0 -1; 2θ = 54.64°, d 1.680, I = 15, hkl 3 3 -4

```
data_Zr2P2O9
_symmetry_space_group_name_H-M 'C 1 2/m 1'
_symmetry_Int_Tables_number 12
_symmetry_space_group_name_Hall '-C 2y'
_cell_length_a 14.026
_cell_length_b 6.675
_cell_length_c 10.360
_cell_angle_alpha 90.00
_cell_angle_beta 131.83
_cell_angle_gamma 90.00
loop_
_atom_site_label
_atom_site_fract_x
_atom_site_fract_y
_atom_site_fract_z
Zr1 0.057 0.000 0.403
Zr2 0.185 0.500 0.136
P1 0.094 0.500 0.333
P2 0.170 0.000 0.038
O1 0.017 0.500 0.134
O2 0.035 0.000 0.855
O3 0.073 0.312 0.394
O4 0.113 0.000 0.655
O5 0.185 0.189 0.136
O6 0.228 0.500 0.978
O7 0.233 0.500 0.399
```